Calculated powder XRD pattern of TcAuO3 for Cu Ka, from DFT lattice parameters and positions (GGA-PBE).
No peak broadening, texture or thermal motion is included.

Crystal structure
```
data_TcAuO3
_space_group_name_H-M_alt 'R -3 c'
_space_group_IT_number 167
_space_group_name_Hall '-R 3 2"c'
_cell_length_a 5.3643
_cell_length_b 5.3643
_cell_length_c 13.8103
_cell_angle_alpha 90.00
_cell_angle_beta 90.00
_cell_angle_gamma 120.00
loop_
_atom_site_label
_atom_site_type_symbol
_atom_site_fract_x
_atom_site_fract_y
_atom_site_fract_z
Tc1 Tc 0.0000 0.0000 0.0000
Au1 Au 0.0000 0.0000 0.2500
O1 O 0.0000 0.4209 0.2500
```

The 10 most intense peaks (2θ from 10° to 80°), low angle first:
hkl 0 1 2, 23.1 deg, 3.855 Å, I 18; hkl 1 0 4, 32.3 deg, 2.771 Å, I 100; hkl 1 1 0, 33.4 deg, 2.682 Å, I 87; hkl 0 2 4, 47.2 deg, 1.927 Å, I 47; hkl 0 1 8, 56.9 deg, 1.618 Å, I 20; hkl 2 1 4, 59.0 deg, 1.565 Å, I 38; hkl 3 0 0, 59.7 deg, 1.549 Å, I 20; hkl 2 0 8, 67.6 deg, 1.386 Å, I 15; hkl 1 2 8, 77.5 deg, 1.231 Å, I 17; hkl 1 3 4, 79.4 deg, 1.207 Å, I 15

Calculated powder XRD pattern of Ag2SnI4 for Cu Ka, from DFT lattice parameters and positions (GGA-PBE).
No peak broadening, texture or thermal motion is included.

Crystal structure
```
data_Ag2SnI4
_space_group_name_H-M_alt 'I -4'
_space_group_IT_number 82
_space_group_name_Hall 'I -4'
_cell_length_a 6.5855
_cell_length_b 6.5855
_cell_length_c 13.2488
_cell_angle_alpha 90.00
_cell_angle_beta 90.00
_cell_angle_gamma 90.00
loop_
_atom_site_label
_atom_site_type_symbol
_atom_site_fract_x
_atom_site_fract_y
_atom_site_fract_z
Ag1 Ag 0.0000 0.0000 0.0000
Ag2 Ag 0.0000 0.5000 0.2500
Sn1 Sn 0.0000 0.0000 0.5000
I1 I 0.2196 0.2491 0.8604
```

The 10 most intense peaks (2θ from 10° to 80°), low angle first:
hkl 1 1 2, 23.4 deg, 3.810 Å, I 100; hkl 2 0 2, 30.3 deg, 2.949 Å, I 6; hkl 1 2 1, 31.1 deg, 2.875 Å, I 9; hkl 2 0 4, 38.6 deg, 2.335 Å, I 48; hkl 2 2 0, 38.7 deg, 2.328 Å, I 25; hkl 1 1 6, 45.5 deg, 1.995 Å, I 14; hkl 3 1 2, 45.7 deg, 1.987 Å, I 30; hkl 4 0 0, 55.8 deg, 1.646 Å, I 8; hkl 1 3 6, 61.2 deg, 1.515 Å, I 10; hkl 4 2 4, 69.9 deg, 1.346 Å, I 14

Calculated powder XRD pattern of HoBiI6 for Cu Ka, from DFT lattice parameters and positions (GGA-PBE).
No peak broadening, texture or thermal motion is included.

Crystal structure
```
data_HoBiI6
_space_group_name_H-M_alt 'C 1 2 1'
_space_group_IT_number 5
_space_group_name_Hall 'C 2y'
_cell_length_a 7.7288
_cell_length_b 13.4049
_cell_length_c 7.7565
_cell_angle_alpha 90.00
_cell_angle_beta 108.96
_cell_angle_gamma 90.00
loop_
_atom_site_label
_atom_site_type_symbol
_atom_site_fract_x
_atom_site_fract_y
_atom_site_fract_z
Ho1 Ho 0.0000 0.0000 0.0000
Bi1 Bi 0.0000 0.6676 0.0000
I1 I 0.2252 0.8378 0.2455
I2 I 0.2415 0.0076 0.7592
I3 I 0.2478 0.1567 0.2410
```

The 10 most intense peaks (2θ from 10° to 80°), low angle first:
hkl 0 0 1, 12.1 deg, 7.336 Å, I 46; hkl 1 1 0, 13.8 deg, 6.417 Å, I 23; hkl 2 0 -1, 23.4 deg, 3.808 Å, I 24; hkl 0 0 2, 24.3 deg, 3.662 Å, I 19; hkl 1 3 1, 28.1 deg, 3.170 Å, I 100; hkl 2 0 -2, 28.3 deg, 3.151 Å, I 49; hkl 2 0 2, 40.1 deg, 2.249 Å, I 19; hkl 1 3 -3, 40.3 deg, 2.237 Å, I 56; hkl 3 3 -1, 40.4 deg, 2.232 Å, I 36; hkl 2 6 -2, 50.0 deg, 1.822 Å, I 19

Calculated powder XRD pattern of LiGa2Cu4Ni for Cu Ka, from DFT lattice parameters and positions (GGA-PBE).
No peak broadening, texture or thermal motion is included.

Crystal structure
```
data_LiGa2Cu4Ni
_space_group_name_H-M_alt 'P 4/m m m'
_space_group_IT_number 123
_space_group_name_Hall '-P 4 2'
_cell_length_a 4.1034
_cell_length_b 4.1034
_cell_length_c 5.8251
_cell_angle_alpha 90.00
_cell_angle_beta 90.00
_cell_angle_gamma 90.00
loop_
_atom_site_label
_atom_site_type_symbol
_atom_site_fract_x
_atom_site_fract_y
_atom_site_fract_z
Li1 Li 0.0000 0.0000 0.0000
Ga1 Ga 0.0000 0.0000 0.5000
Ga2 Ga 0.5000 0.5000 0.0000
Cu1 Cu 0.0000 0.5000 0.2490
Ni1 Ni 0.5000 0.5000 0.5000
```

The 10 most intense peaks (2θ from 10° to 80°), low angle first:
hkl 0 0 1, 15.2 deg, 5.825 Å, I 4; hkl 1 0 0, 21.7 deg, 4.103 Å, I 3; hkl 1 0 1, 26.6 deg, 3.355 Å, I 6; hkl 1 1 0, 30.8 deg, 2.902 Å, I 1; hkl 1 1 1, 34.5 deg, 2.597 Å, I 2; hkl 1 0 2, 37.9 deg, 2.375 Å, I 2; hkl 2 0 0, 44.1 deg, 2.054 Å, I 100; hkl 2 1 1, 52.3 deg, 1.750 Å, I 2; hkl 0 0 4, 63.9 deg, 1.456 Å, I 5; hkl 2 2 0, 64.2 deg, 1.451 Å, I 10

Calculated powder XRD pattern of TbHoSi2Mo2C for Cu Ka, from DFT lattice parameters and positions (GGA-PBE).
No peak broadening, texture or thermal motion is included.

Crystal structure
```
data_TbHoSi2Mo2C
_space_group_name_H-M_alt 'C 1 m 1'
_space_group_IT_number 8
_space_group_name_Hall 'C -2y'
_cell_length_a 11.1434
_cell_length_b 3.8122
_cell_length_c 7.1475
_cell_angle_alpha 90.00
_cell_angle_beta 125.64
_cell_angle_gamma 90.00
loop_
_atom_site_label
_atom_site_type_symbol
_atom_site_fract_x
_atom_site_fract_y
_atom_site_fract_z
Tb1 Tb 0.0000 0.0000 0.0000
Ho1 Ho 0.3503 0.5000 0.4086
Si1 Si 0.0561 0.5000 0.3680
Si2 Si 0.2937 0.0000 0.0403
Mo1 Mo 0.1305 0.5000 0.7874
Mo2 Mo 0.2188 0.0000 0.6191
C1 C 0.4242 0.0000 0.7016
```

The 10 most intense peaks (2θ from 10° to 80°), low angle first:
hkl 2 0 -2, 25.0 deg, 3.564 Å, I 21; hkl 1 1 0, 25.3 deg, 3.514 Å, I 26; hkl 2 0 1, 31.3 deg, 2.855 Å, I 45; hkl 1 1 1, 32.6 deg, 2.744 Å, I 17; hkl 4 0 -1, 33.1 deg, 2.710 Å, I 32; hkl 3 1 -1, 33.7 deg, 2.656 Å, I 89; hkl 1 1 -2, 35.4 deg, 2.538 Å, I 100; hkl 4 0 -3, 39.9 deg, 2.259 Å, I 31; hkl 0 2 0, 47.7 deg, 1.907 Å, I 40; hkl 2 2 1, 58.2 deg, 1.585 Å, I 16

Calculated powder XRD pattern of Al2CoCu5 for Cu Ka, from DFT lattice parameters and positions (GGA-PBE).
No peak broadening, texture or thermal motion is included.

Crystal structure
```
data_Al2CoCu5
_space_group_name_H-M_alt 'P 4/m m m'
_space_group_IT_number 123
_space_group_name_Hall '-P 4 2'
_cell_length_a 4.0586
_cell_length_b 4.0586
_cell_length_c 5.8533
_cell_angle_alpha 90.00
_cell_angle_beta 90.00
_cell_angle_gamma 90.00
loop_
_atom_site_label
_atom_site_type_symbol
_atom_site_fract_x
_atom_site_fract_y
_atom_site_fract_z
Al1 Al 0.0000 0.0000 0.0000
Al2 Al 0.5000 0.5000 0.5000
Co1 Co 0.0000 0.0000 0.5000
Cu1 Cu 0.0000 0.5000 0.2516
Cu2 Cu 0.5000 0.5000 0.0000
```

The 10 most intense peaks (2θ from 10° to 80°), low angle first:
hkl 1 0 1, 26.7 deg, 3.335 Å, I 11; hkl 0 0 2, 30.5 deg, 2.927 Å, I 3; hkl 1 1 0, 31.2 deg, 2.870 Å, I 5; hkl 1 1 2, 44.2 deg, 2.049 Å, I 100; hkl 2 0 0, 44.7 deg, 2.029 Å, I 48; hkl 1 0 3, 52.0 deg, 1.758 Å, I 2; hkl 2 1 1, 52.8 deg, 1.734 Å, I 3; hkl 2 0 2, 55.1 deg, 1.668 Å, I 2; hkl 0 0 4, 63.6 deg, 1.463 Å, I 8; hkl 2 2 0, 65.0 deg, 1.435 Å, I 15

Calculated powder XRD pattern of ZrAl5NiPd for Cu Ka, from DFT lattice parameters and positions (GGA-PBE).
No peak broadening, texture or thermal motion is included.

Crystal structure
```
data_ZrAl5NiPd
_space_group_name_H-M_alt 'I 4 m m'
_space_group_IT_number 107
_space_group_name_Hall 'I 4 -2'
_cell_length_a 4.0672
_cell_length_b 4.0672
_cell_length_c 14.8921
_cell_angle_alpha 90.00
_cell_angle_beta 90.00
_cell_angle_gamma 90.00
loop_
_atom_site_label
_atom_site_type_symbol
_atom_site_fract_x
_atom_site_fract_y
_atom_site_fract_z
Zr1 Zr 0.0000 0.0000 0.0000
Al1 Al 0.0000 0.0000 0.5021
Al2 Al 0.0000 0.5000 0.1431
Al3 Al 0.0000 0.5000 0.3581
Ni1 Ni 0.0000 0.0000 0.7641
Pd1 Pd 0.0000 0.0000 0.2417
```

The 10 most intense peaks (2θ from 10° to 80°), low angle first:
hkl 0 0 2, 11.9 deg, 7.446 Å, I 18; hkl 1 0 1, 22.7 deg, 3.923 Å, I 23; hkl 0 0 4, 23.9 deg, 3.723 Å, I 23; hkl 1 1 0, 31.1 deg, 2.876 Å, I 23; hkl 1 0 5, 37.4 deg, 2.403 Å, I 13; hkl 1 1 4, 39.6 deg, 2.276 Å, I 100; hkl 2 0 0, 44.6 deg, 2.034 Å, I 39; hkl 2 2 0, 64.8 deg, 1.438 Å, I 12; hkl 2 0 8, 68.3 deg, 1.373 Å, I 15; hkl 3 1 4, 78.7 deg, 1.216 Å, I 25